Calculated powder X-ray diffraction pattern
Compound: MgCoSiO5
Radiation: λ = 1.5418 Å (Cu Kα)
Structure: a DFT-relaxed cell (GGA+U, Alexandria)

Structure:
```
MgCoSiO5
1.0
5.333 0.000 0.000
-1.061 5.374 0.000
-2.020 -2.365 6.045
Mg Co Si O
2 2 2 10
Direct
0.246 0.370 0.269
0.754 0.630 0.731
0.500 0.000 0.000
0.500 0.000 0.500
0.177 0.374 0.755
0.823 0.626 0.245
0.160 0.741 0.392
0.178 0.690 0.847
0.268 0.257 0.951
0.354 0.336 0.593
0.405 0.060 0.241
0.595 0.940 0.759
0.646 0.664 0.407
0.732 0.743 0.049
0.822 0.310 0.153
0.840 0.259 0.608
```

Most intense lines, 2θ from 10° to 80°, by intensity:
3.145 Å, intensity 100, hkl 0 1 -2; 3.051 Å, intensity 62, hkl 1 1 0; 4.852 Å, intensity 45, hkl 1 0 0; 2.564 Å, intensity 39, hkl 1 -2 0; 1.962 Å, intensity 20, hkl 2 1 0; 1.698 Å, intensity 20, hkl 1 1 -4; 4.174 Å, intensity 16, hkl 1 -1 0; 1.618 Å, intensity 16, hkl 2 0 2; 2.501 Å, intensity 13, hkl 2 -1 0; 1.668 Å, intensity 12, hkl 0 3 0; 1.732 Å, intensity 11, hkl -2 2 2; 1.708 Å, intensity 11, hkl 1 -3 2